(1)
Tb2AgIr: theoretical X-ray powder pattern (Cu Kα), based on a structure optimized by DFT (PBE).

Top 8 peaks for 5° ≤ 2θ ≤ 70°, low angle first:
Position (°2θ)	intensity
12.05	13.7
35.41	100.0
36.24	49.4
45.18	7.0
49.66	8.1
52.19	17.4
63.01	15.9
64.66	34.5

```
Tb2AgIr
1.0
3.5051 0.0000 0.0000
0.0000 3.5051 0.0000
0.0000 0.0000 7.3428
Tb Ag Ir
2 1 1
Cartesian
0.0000 0.0000 1.6489
0.0000 0.0000 5.6939
1.7525 1.7525 3.6714
1.7525 1.7525 0.0000
```

***

(2)
CoP3H: theoretical X-ray powder pattern (Cu Kα), based on a structure optimized by DFT (PBE).

Top 8 peaks for 5° ≤ 2θ ≤ 70°, low angle first:
Position (°2θ)	intensity
20.11	67.3
21.95	74.2
29.48	100.0
39.56	69.5
41.53	75.7
50.09	41.8
54.22	48.6
58.69	50.8

```
CoP3H
1.0
-1.6128 2.2783 4.4163
1.6128 -2.2783 4.4163
1.6128 2.2783 -4.4163
Co P H
1 3 1
Cartesian
0.0000 0.0000 0.0000
0.0000 0.0000 2.2584
1.6128 0.0000 3.8308
0.0000 2.2783 2.8822
1.6128 0.0000 0.5911
```